# 1
Diffraction record for Tb5Mg2. The powder XRD pattern is simulated, not measured: it uses the PBE geometry in Alexandria and CuKα.
Neutral-atom scattering factors, no anomalous dispersion.

Peak list (6 most intense, 2θ = 10–80°, low angle first)
Position (°2θ), intensity
28.7, 26
31.6, 100
36.2, 38
52.1, 13
53.1, 18
62.2, 29

Atomic structure:
```
data_Tb5Mg2
_cell_length_a 16.996
_cell_length_b 16.996
_cell_length_c 16.996
_cell_angle_alpha 168.15
_cell_angle_beta 168.15
_cell_angle_gamma 16.79
_space_group_name_H-M_alt 'P 1'
_space_group_IT_number 1
loop_
_space_group_symop_operation_xyz
'x,y,z'
loop_
_atom_site_label
_atom_site_type_symbol
_atom_site_fract_x
_atom_site_fract_y
_atom_site_fract_z
Tb1 Tb 0.000 0.000 0.000
Tb2 Tb 0.152 0.152 0.000
Tb3 Tb 0.424 0.424 0.000
Tb4 Tb 0.576 0.576 0.000
Tb5 Tb 0.848 0.848 0.000
Mg1 Mg 0.279 0.279 0.000
Mg2 Mg 0.721 0.721 0.000
```



# 2
Diffraction record for BaMgAl2Hg. The powder XRD pattern is simulated, not measured: it uses the PBE geometry in Alexandria and CuKα.
Neutral-atom scattering factors, no anomalous dispersion.

Peak list (6 most intense, 2θ = 10–80°, low angle first)
Position (°2θ), intensity
14.8, 70
27.0, 87
29.2, 68
29.7, 64
30.9, 100
48.7, 33

Atomic structure:
```
data_BaMgAl2Hg
_cell_length_a 6.823
_cell_length_b 6.823
_cell_length_c 6.823
_cell_angle_alpha 140.71
_cell_angle_beta 139.04
_cell_angle_gamma 58.05
_space_group_name_H-M_alt 'P 1'
_space_group_IT_number 1
loop_
_space_group_symop_operation_xyz
'x,y,z'
loop_
_atom_site_label
_atom_site_type_symbol
_atom_site_fract_x
_atom_site_fract_y
_atom_site_fract_z
Ba1 Ba 0.000 0.000 0.000
Mg1 Mg 0.245 0.745 0.500
Al1 Al 0.617 0.617 0.000
Al2 Al 0.744 0.244 0.500
Hg1 Hg 0.385 0.385 0.000
```



# 3
Diffraction record for Th3Ge3Os2. The powder XRD pattern is simulated, not measured: it uses the PBE geometry in Alexandria and CuKα.
Neutral-atom scattering factors, no anomalous dispersion.

Peak list (6 most intense, 2θ = 10–80°, low angle first)
Position (°2θ), intensity
32.5, 79
33.4, 84
36.1, 70
37.0, 43
37.5, 100
54.1, 40

Atomic structure:
```
data_Th3Ge3Os2
_cell_length_a 8.037
_cell_length_b 15.150
_cell_length_c 5.795
_cell_angle_alpha 90.00
_cell_angle_beta 90.00
_cell_angle_gamma 90.00
_space_group_name_H-M_alt 'P 1'
_space_group_IT_number 1
loop_
_space_group_symop_operation_xyz
'x,y,z'
loop_
_atom_site_label
_atom_site_type_symbol
_atom_site_fract_x
_atom_site_fract_y
_atom_site_fract_z
Th1 Th 0.038 0.110 0.116
Th2 Th 0.038 0.390 0.116
Th3 Th 0.180 0.250 0.630
Th4 Th 0.320 0.750 0.130
Th5 Th 0.462 0.610 0.616
Th6 Th 0.462 0.890 0.616
Th7 Th 0.538 0.110 0.384
Th8 Th 0.538 0.390 0.384
Th9 Th 0.680 0.250 0.870
Th10 Th 0.820 0.750 0.370
Th11 Th 0.962 0.610 0.884
Th12 Th 0.962 0.890 0.884
Ge1 Ge 0.172 0.750 0.618
Ge2 Ge 0.183 0.037 0.614
Ge3 Ge 0.183 0.463 0.614
Ge4 Ge 0.317 0.537 0.114
Ge5 Ge 0.317 0.963 0.114
Ge6 Ge 0.328 0.250 0.118
Ge7 Ge 0.672 0.750 0.882
Ge8 Ge 0.683 0.037 0.886
Ge9 Ge 0.683 0.463 0.886
Ge10 Ge 0.817 0.537 0.386
Ge11 Ge 0.817 0.963 0.386
Ge12 Ge 0.828 0.250 0.382
Os1 Os 0.101 0.609 0.377
Os2 Os 0.101 0.891 0.377
Os3 Os 0.399 0.109 0.877
Os4 Os 0.399 0.391 0.877
Os5 Os 0.601 0.609 0.123
Os6 Os 0.601 0.891 0.123
Os7 Os 0.899 0.109 0.623
Os8 Os 0.899 0.391 0.623
```



# 4
Diffraction record for KSc2OsO8. The powder XRD pattern is simulated, not measured: it uses the PBE geometry in Alexandria and CuKα.
Neutral-atom scattering factors, no anomalous dispersion.

Peak list (6 most intense, 2θ = 10–80°, low angle first)
Position (°2θ), intensity
12.7, 80
21.8, 47
26.7, 100
31.3, 37
32.6, 53
51.9, 41

Atomic structure:
```
data_KSc2OsO8
_cell_length_a 4.473
_cell_length_b 6.972
_cell_length_c 5.013
_cell_angle_alpha 90.00
_cell_angle_beta 90.06
_cell_angle_gamma 90.00
_space_group_name_H-M_alt 'P 1'
_space_group_IT_number 1
loop_
_space_group_symop_operation_xyz
'x,y,z'
loop_
_atom_site_label
_atom_site_type_symbol
_atom_site_fract_x
_atom_site_fract_y
_atom_site_fract_z
K1 K 0.000 0.000 0.000
Sc1 Sc 0.500 0.259 0.500
Sc2 Sc 0.500 0.741 0.500
Os1 Os 0.000 0.500 0.000
O1 O 0.237 0.314 0.843
O2 O 0.237 0.686 0.843
O3 O 0.258 0.500 0.313
O4 O 0.266 0.000 0.472
O5 O 0.734 0.000 0.528
O6 O 0.742 0.500 0.687
O7 O 0.763 0.314 0.157
O8 O 0.763 0.686 0.157
```



# 5
Diffraction record for V3W5. The powder XRD pattern is simulated, not measured: it uses the PBE geometry in Alexandria and CuKα.
Neutral-atom scattering factors, no anomalous dispersion.

Peak list (6 most intense, 2θ = 10–80°, low angle first)
Position (°2θ), intensity
21.4, 7
29.6, 15
41.0, 100
59.3, 11
74.7, 23
74.8, 11

Atomic structure:
```
data_V3W5
_cell_length_a 3.115
_cell_length_b 3.115
_cell_length_c 12.428
_cell_angle_alpha 90.00
_cell_angle_beta 90.00
_cell_angle_gamma 90.00
_space_group_name_H-M_alt 'P 1'
_space_group_IT_number 1
loop_
_space_group_symop_operation_xyz
'x,y,z'
loop_
_atom_site_label
_atom_site_type_symbol
_atom_site_fract_x
_atom_site_fract_y
_atom_site_fract_z
V1 V 0.000 0.000 0.000
V2 V 0.500 0.500 0.377
V3 V 0.500 0.500 0.623
W1 W 0.000 0.000 0.253
W2 W 0.000 0.000 0.500
W3 W 0.000 0.000 0.747
W4 W 0.500 0.500 0.124
W5 W 0.500 0.500 0.876
```



# 6
Diffraction record for La2InSn4. The powder XRD pattern is simulated, not measured: it uses the PBE geometry in Alexandria and CuKα.
Neutral-atom scattering factors, no anomalous dispersion.

Peak list (6 most intense, 2θ = 10–80°, low angle first)
Position (°2θ), intensity
32.7, 100
37.2, 18
38.4, 33
54.5, 24
64.3, 15
65.8, 27

Atomic structure:
```
data_La2InSn4
_cell_length_a 6.734
_cell_length_b 6.734
_cell_length_c 6.734
_cell_angle_alpha 120.94
_cell_angle_beta 120.94
_cell_angle_gamma 88.37
_space_group_name_H-M_alt 'P 1'
_space_group_IT_number 1
loop_
_space_group_symop_operation_xyz
'x,y,z'
loop_
_atom_site_label
_atom_site_type_symbol
_atom_site_fract_x
_atom_site_fract_y
_atom_site_fract_z
La1 La 0.000 0.500 0.500
La2 La 0.500 0.000 0.500
In1 In 0.000 0.000 0.000
Sn1 Sn 0.500 0.500 0.501
Sn2 Sn 0.500 0.999 0.000
Sn3 Sn 0.999 0.500 0.000
Sn4 Sn 0.999 0.999 0.499
```



# 7
Diffraction record for ThB12. The powder XRD pattern is simulated, not measured: it uses the PBE geometry in Alexandria and CuKα.
Neutral-atom scattering factors, no anomalous dispersion.

Peak list (6 most intense, 2θ = 10–80°, low angle first)
Position (°2θ), intensity
20.2, 100
23.4, 70
33.3, 46
39.3, 91
52.5, 33
73.8, 29

Atomic structure:
```
data_ThB12
_cell_length_a 5.374
_cell_length_b 5.374
_cell_length_c 5.374
_cell_angle_alpha 60.00
_cell_angle_beta 60.00
_cell_angle_gamma 60.00
_space_group_name_H-M_alt 'P 1'
_space_group_IT_number 1
loop_
_space_group_symop_operation_xyz
'x,y,z'
loop_
_atom_site_label
_atom_site_type_symbol
_atom_site_fract_x
_atom_site_fract_y
_atom_site_fract_z
Th1 Th 0.000 0.000 0.000
B1 B 0.163 0.500 0.500
B2 B 0.163 0.500 0.837
B3 B 0.163 0.837 0.500
B4 B 0.500 0.163 0.500
B5 B 0.500 0.163 0.837
B6 B 0.500 0.500 0.163
B7 B 0.500 0.500 0.837
B8 B 0.500 0.837 0.163
B9 B 0.500 0.837 0.500
B10 B 0.837 0.163 0.500
B11 B 0.837 0.500 0.163
B12 B 0.837 0.500 0.500
```



# 8
Diffraction record for SmPa2PbO8. The powder XRD pattern is simulated, not measured: it uses the PBE geometry in Alexandria and CuKα.
Neutral-atom scattering factors, no anomalous dispersion.

Peak list (6 most intense, 2θ = 10–80°, low angle first)
Position (°2θ), intensity
28.2, 100
32.6, 24
46.7, 17
47.0, 33
55.5, 31
55.9, 15

Atomic structure:
```
data_SmPa2PbO8
_cell_length_a 6.693
_cell_length_b 6.693
_cell_length_c 6.693
_cell_angle_alpha 131.48
_cell_angle_beta 131.48
_cell_angle_gamma 71.05
_space_group_name_H-M_alt 'P 1'
_space_group_IT_number 1
loop_
_space_group_symop_operation_xyz
'x,y,z'
loop_
_atom_site_label
_atom_site_type_symbol
_atom_site_fract_x
_atom_site_fract_y
_atom_site_fract_z
Sm1 Sm 0.000 0.000 0.000
Pa1 Pa 0.250 0.750 0.500
Pa2 Pa 0.500 0.500 0.000
Pb1 Pb 0.750 0.250 0.500
O1 O 0.145 0.123 0.516
O2 O 0.145 0.629 0.022
O3 O 0.371 0.393 0.516
O4 O 0.371 0.855 0.978
O5 O 0.607 0.123 0.978
O6 O 0.607 0.629 0.484
O7 O 0.877 0.393 0.022
O8 O 0.877 0.855 0.484
```



# 9
Diffraction record for Tb2PmPd3. The powder XRD pattern is simulated, not measured: it uses the PBE geometry in Alexandria and CuKα.
Neutral-atom scattering factors, no anomalous dispersion.

Peak list (6 most intense, 2θ = 10–80°, low angle first)
Position (°2θ), intensity
35.3, 26
35.4, 26
36.0, 100
50.9, 18
63.8, 18
64.0, 19

Atomic structure:
```
data_Tb2PmPd3
_cell_length_a 5.068
_cell_length_b 15.261
_cell_length_c 3.465
_cell_angle_alpha 90.00
_cell_angle_beta 90.00
_cell_angle_gamma 90.00
_space_group_name_H-M_alt 'P 1'
_space_group_IT_number 1
loop_
_space_group_symop_operation_xyz
'x,y,z'
loop_
_atom_site_label
_atom_site_type_symbol
_atom_site_fract_x
_atom_site_fract_y
_atom_site_fract_z
Tb1 Tb 0.250 0.083 0.001
Tb2 Tb 0.250 0.417 0.001
Tb3 Tb 0.750 0.583 0.999
Tb4 Tb 0.750 0.917 0.999
Pm1 Pm 0.250 0.750 0.998
Pm2 Pm 0.750 0.250 0.002
Pd1 Pd 0.250 0.250 0.502
Pd2 Pd 0.250 0.577 0.500
Pd3 Pd 0.250 0.923 0.500
Pd4 Pd 0.750 0.077 0.500
Pd5 Pd 0.750 0.423 0.500
Pd6 Pd 0.750 0.750 0.498
```



# 10
Diffraction record for SrCuBr4. The powder XRD pattern is simulated, not measured: it uses the PBE geometry in Alexandria and CuKα.
Neutral-atom scattering factors, no anomalous dispersion.

Peak list (6 most intense, 2θ = 10–80°, low angle first)
Position (°2θ), intensity
16.7, 80
22.8, 57
33.8, 100
35.2, 87
42.3, 41
59.7, 36

Atomic structure:
```
data_SrCuBr4
_cell_length_a 6.424
_cell_length_b 6.424
_cell_length_c 6.424
_cell_angle_alpha 111.65
_cell_angle_beta 111.65
_cell_angle_gamma 105.19
_space_group_name_H-M_alt 'P 1'
_space_group_IT_number 1
loop_
_space_group_symop_operation_xyz
'x,y,z'
loop_
_atom_site_label
_atom_site_type_symbol
_atom_site_fract_x
_atom_site_fract_y
_atom_site_fract_z
Sr1 Sr 0.000 0.000 0.000
Cu1 Cu 0.250 0.750 0.500
Br1 Br 0.009 0.511 0.023
Br2 Br 0.014 0.991 0.502
Br3 Br 0.488 0.986 0.977
Br4 Br 0.489 0.512 0.498
```



# 11
Diffraction record for SiNiAu2. The powder XRD pattern is simulated, not measured: it uses the PBE geometry in Alexandria and CuKα.
Neutral-atom scattering factors, no anomalous dispersion.

Peak list (6 most intense, 2θ = 10–80°, low angle first)
Position (°2θ), intensity
14.0, 67
25.9, 66
30.2, 54
38.8, 100
40.7, 80
42.1, 73

Atomic structure:
```
data_SiNiAu2
_cell_length_a 6.587
_cell_length_b 6.587
_cell_length_c 3.719
_cell_angle_alpha 99.71
_cell_angle_beta 99.71
_cell_angle_gamma 24.36
_space_group_name_H-M_alt 'P 1'
_space_group_IT_number 1
loop_
_space_group_symop_operation_xyz
'x,y,z'
loop_
_atom_site_label
_atom_site_type_symbol
_atom_site_fract_x
_atom_site_fract_y
_atom_site_fract_z
Si1 Si 0.000 0.000 0.000
Ni1 Ni 0.500 0.500 0.500
Au1 Au 0.178 0.178 0.717
Au2 Au 0.822 0.822 0.283
```



# 12
Diffraction record for BH2Se2. The powder XRD pattern is simulated, not measured: it uses the PBE geometry in Alexandria and CuKα.
Neutral-atom scattering factors, no anomalous dispersion.

Peak list (6 most intense, 2θ = 10–80°, low angle first)
Position (°2θ), intensity
13.7, 100
25.6, 18
26.9, 17
27.5, 20
31.2, 11
35.1, 17

Atomic structure:
```
data_BH2Se2
_cell_length_a 6.585
_cell_length_b 6.585
_cell_length_c 6.915
_cell_angle_alpha 100.72
_cell_angle_beta 100.72
_cell_angle_gamma 115.08
_space_group_name_H-M_alt 'P 1'
_space_group_IT_number 1
loop_
_space_group_symop_operation_xyz
'x,y,z'
loop_
_atom_site_label
_atom_site_type_symbol
_atom_site_fract_x
_atom_site_fract_y
_atom_site_fract_z
B1 B 0.078 0.922 0.000
B2 B 0.922 0.078 0.000
H1 H 0.259 0.259 0.570
H2 H 0.299 0.299 0.483
H3 H 0.701 0.701 0.517
H4 H 0.741 0.741 0.430
Se1 Se 0.114 0.396 0.002
Se2 Se 0.396 0.114 0.002
Se3 Se 0.604 0.886 0.998
Se4 Se 0.886 0.604 0.998
```



Please write out number 11 again, unchanged.
Diffraction record for SiNiAu2. The powder XRD pattern is simulated, not measured: it uses the PBE geometry in Alexandria and CuKα.
Neutral-atom scattering factors, no anomalous dispersion.

Peak list (6 most intense, 2θ = 10–80°, low angle first)
Position (°2θ), intensity
14.0, 67
25.9, 66
30.2, 54
38.8, 100
40.7, 80
42.1, 73

Atomic structure:
```
data_SiNiAu2
_cell_length_a 6.587
_cell_length_b 6.587
_cell_length_c 3.719
_cell_angle_alpha 99.71
_cell_angle_beta 99.71
_cell_angle_gamma 24.36
_space_group_name_H-M_alt 'P 1'
_space_group_IT_number 1
loop_
_space_group_symop_operation_xyz
'x,y,z'
loop_
_atom_site_label
_atom_site_type_symbol
_atom_site_fract_x
_atom_site_fract_y
_atom_site_fract_z
Si1 Si 0.000 0.000 0.000
Ni1 Ni 0.500 0.500 0.500
Au1 Au 0.178 0.178 0.717
Au2 Au 0.822 0.822 0.283
```